(1)
Theoretical powder diffractogram of Ni3Pd2Se8 for copper Kα, from a crystal structure in Alexandria, relaxed with GGA-PBE.
Neutral-atom scattering factors, no anomalous dispersion.

Atomic structure:
Cell lengths 6.4394, 6.4394, 6.4251 Å; angles 94.04, 94.04, 70.16 degrees
Fractional positions:
Ni 0.0000 0.0000 0.0000
Ni 0.2493 0.7507 0.5000
Ni 0.7507 0.2493 0.5000
Pd 0.2795 0.2795 0.9562
Pd 0.7205 0.7205 0.0438
Se 0.1179 0.1179 0.3560
Se 0.1224 0.6478 0.1579
Se 0.3522 0.8776 0.8421
Se 0.3738 0.3738 0.6016
Se 0.6262 0.6262 0.3984
Se 0.6478 0.1224 0.1579
Se 0.8776 0.3522 0.8421
Se 0.8821 0.8821 0.6440

Most intense lines, 10 to 90 degrees two-theta, sorted by position:
| 2θ/deg | d (Å) | I/Imax |
| --- | --- | --- |
| 31.46 | 2.844 | 436 |
| 32.09 | 2.789 | 616 |
| 33.39 | 2.684 | 683 |
| 43.62 | 2.075 | 707 |
| 45.61 | 1.989 | 484 |
| 49.27 | 1.849 | 1000 |



(2)
Theoretical powder diffractogram of Ni3PdSe8 for copper Kα, from a crystal structure in Alexandria, relaxed with GGA-PBE.
Neutral-atom scattering factors, no anomalous dispersion.

Atomic structure:
Cell lengths 7.2942, 7.2942, 6.0226 Å; angles 111.44, 111.44, 60.75 degrees
Fractional positions:
Ni 0.0000 0.0000 0.0000
Ni 0.0000 0.5000 0.0000
Ni 0.5000 0.0000 0.0000
Pd 0.5000 0.5000 0.0000
Se 0.1979 0.7197 0.2254
Se 0.2115 0.2115 0.2203
Se 0.2793 0.2793 0.7714
Se 0.2803 0.8021 0.7746
Se 0.7197 0.1979 0.2254
Se 0.7207 0.7207 0.2286
Se 0.7885 0.7885 0.7797
Se 0.8021 0.2803 0.7746

Most intense lines, 10 to 90 degrees two-theta, sorted by position:
| 2θ/deg | d (Å) | I/Imax |
| --- | --- | --- |
| 16.25 | 5.455 | 856 |
| 29.72 | 3.006 | 599 |
| 31.39 | 2.850 | 469 |
| 38.64 | 2.330 | 1000 |
| 49.38 | 1.846 | 558 |
| 50.16 | 1.819 | 432 |